Li6V5SbO12: theoretical powder XRD pattern (Cu Kα, 1.54184 Å), based on a crystal structure in Alexandria, relaxed with GGA+U.

Atomic structure:
```
data_Li6V5SbO12
_chemical_formula_sum 'Li12 V10 Sb2 O24'
_cell_length_a 5.4543
_cell_length_b 9.0673
_cell_length_c 10.5256
_cell_angle_alpha 90.00
_cell_angle_beta 99.84
_cell_angle_gamma 90.00
_space_group_name_H-M_alt 'C 1 2 1'
_space_group_IT_number 5
_space_group_name_Hall 'C 2y'
loop_
_atom_site_label
_atom_site_fract_x
_atom_site_fract_y
_atom_site_fract_z
Li1 0.2394 0.0000 0.2107
Li2 0.2404 0.6657 0.2152
Li3 0.2405 0.3341 0.2154
V1 0.0000 0.1708 0.0000
V2 0.0000 0.3410 0.5000
V3 0.0000 0.4999 0.0000
V4 0.0000 0.6586 0.5000
V5 0.0000 0.8292 0.0000
Sb1 0.0000 0.0001 0.5000
O1 0.1206 0.9999 0.8926
O2 0.1299 0.3272 0.8872
O3 0.1299 0.6727 0.8873
O4 0.1925 0.8375 0.6015
O5 0.1946 0.1616 0.6019
O6 0.2214 0.5012 0.6069
```

Most intense lines, 2θ = 10–90°, by angle:
2theta	I_rel	h k l
17.10	100	0 0 2
34.42	14	1 3 -1
34.88	12	2 0 -2
35.87	22	1 3 1
40.36	13	2 0 2
41.31	23	1 3 -3
44.98	17	1 3 3
53.92	10	1 3 -5
59.32	13	3 3 -1
62.22	10	3 3 -3


Li6V3Sb3O16: theoretical powder XRD pattern (Cu Kα, 1.54184 Å), based on a crystal structure in Alexandria, relaxed with GGA+U.

Atomic structure:
```
data_Li6V3Sb3O16
_chemical_formula_sum 'Li6 V3 Sb3 O16'
_cell_length_a 6.0957
_cell_length_b 6.1137
_cell_length_c 10.1151
_cell_angle_alpha 89.18
_cell_angle_beta 89.37
_cell_angle_gamma 60.22
_space_group_name_H-M_alt 'P 1'
_space_group_IT_number 1
_space_group_name_Hall 'P 1'
loop_
_atom_site_label
_atom_site_fract_x
_atom_site_fract_y
_atom_site_fract_z
Li1 0.0000 0.0000 0.0000
Li2 0.0061 0.0068 0.3658
Li3 0.3199 0.3263 0.8727
Li4 0.3417 0.3506 0.5043
Li5 0.6506 0.6753 0.8885
Li6 0.6622 0.6509 0.3951
V1 0.3080 0.8920 0.6573
V2 0.5031 0.5014 0.1722
V3 0.7906 0.3542 0.6892
Sb1 0.0080 0.5019 0.1742
Sb2 0.5037 0.0061 0.1759
Sb3 0.8408 0.8361 0.6733
O1 0.0016 0.0089 0.7801
O2 0.1589 0.1657 0.5663
O3 0.1625 0.7036 0.5702
O4 0.1804 0.6455 0.0696
O5 0.1846 0.1832 0.0636
O6 0.3325 0.3308 0.2880
O7 0.3661 0.8240 0.2802
O8 0.5110 0.9742 0.7785
O9 0.5233 0.4953 0.7872
O10 0.6472 0.1787 0.0713
O11 0.6576 0.6758 0.5754
O12 0.6760 0.6774 0.0681
O13 0.6976 0.1614 0.5696
O14 0.8242 0.8188 0.2879
O15 0.8277 0.3628 0.2791
O16 0.9653 0.5163 0.7804
```

Most intense lines, 2θ = 10–90°, by angle:
2theta	I_rel	h k l
16.77	22	1 1 0
17.54	100	0 0 2
18.85	25	1 1 1
18.97	13	0 1 -1
19.07	9	1 1 -1
30.50	9	-1 1 1
35.03	23	2 0 1
38.17	10	0 2 2
43.20	13	2 2 3
43.61	13	2 0 -3


Li2V3SbO8: theoretical powder XRD pattern (Cu Kα, 1.54184 Å), based on a crystal structure in Alexandria, relaxed with GGA+U.

Atomic structure:
```
data_Li2V3SbO8
_chemical_formula_sum 'Li4 V6 Sb2 O16'
_cell_length_a 6.0054
_cell_length_b 6.0054
_cell_length_c 9.7800
_cell_angle_alpha 90.00
_cell_angle_beta 90.00
_cell_angle_gamma 120.00
_space_group_name_H-M_alt 'P 3 1 c'
_space_group_IT_number 159
_space_group_name_Hall 'P 3 -2c'
loop_
_atom_site_label
_atom_site_fract_x
_atom_site_fract_y
_atom_site_fract_z
Li1 0.0000 0.0000 0.0000
Li2 0.3333 0.6667 0.0871
V1 0.1705 0.8278 0.7758
Sb1 0.3333 0.6667 0.5017
O1 0.0000 0.0000 0.1861
O2 0.0370 0.5283 0.6437
O3 0.1602 0.3321 0.3974
O4 0.3333 0.6667 0.8837
```

Most intense lines, 2θ = 10–90°, by angle:
2theta	I_rel	h k l
19.33	100	1 0 1
24.99	30	1 0 2
32.41	36	1 0 3
35.07	48	1 1 2
35.73	24	2 0 1
39.24	15	2 0 2
44.57	26	2 0 3
54.51	19	2 1 3
59.10	25	2 0 5
61.79	22	2 2 0


Li4V3Sb5O16: theoretical powder XRD pattern (Cu Kα, 1.54184 Å), based on a crystal structure in Alexandria, relaxed with GGA+U.

Atomic structure:
```
data_Li4V3Sb5O16
_chemical_formula_sum 'Li4 V3 Sb5 O16'
_cell_length_a 6.2172
_cell_length_b 6.2730
_cell_length_c 10.3737
_cell_angle_alpha 88.60
_cell_angle_beta 89.99
_cell_angle_gamma 62.87
_space_group_name_H-M_alt 'P 1'
_space_group_IT_number 1
_space_group_name_Hall 'P 1'
loop_
_atom_site_label
_atom_site_fract_x
_atom_site_fract_y
_atom_site_fract_z
Li1 0.0000 0.0000 0.0000
Li2 0.0054 0.0123 0.5074
Li3 0.3110 0.3689 0.4108
Li4 0.6627 0.6831 0.8879
V1 0.1718 0.6850 0.7256
V2 0.6574 0.2009 0.7202
V3 0.8274 0.8579 0.2291
Sb1 0.1598 0.1955 0.7240
Sb2 0.3312 0.8474 0.2220
Sb3 0.3671 0.3171 0.0000
Sb4 0.6886 0.6950 0.5135
Sb5 0.8263 0.3712 0.2217
O1 0.0272 0.4976 0.8266
O2 0.0289 0.9936 0.3293
O3 0.1284 0.7264 0.1266
O4 0.2132 0.1153 0.0859
O5 0.2865 0.8945 0.6246
O6 0.3244 0.3534 0.6171
O7 0.4735 0.0653 0.8401
O8 0.4939 0.5025 0.8171
O9 0.4983 0.5239 0.3197
O10 0.5052 0.9912 0.3276
O11 0.6406 0.7051 0.1149
O12 0.6976 0.1512 0.1038
O13 0.8408 0.8713 0.6177
O14 0.8589 0.3242 0.6073
O15 0.9473 0.5842 0.3674
O16 0.9925 0.0299 0.8214
```

Most intense lines, 2θ = 10–90°, by angle:
2theta	I_rel	h k l
17.10	100	0 0 2
17.84	50	0 1 1
18.08	63	1 0 -1
18.26	68	0 1 -1
18.83	65	1 1 -1
30.65	52	1 0 3
32.10	48	-1 1 2
33.04	51	1 2 2
33.64	97	2 0 1
34.62	62	0 0 4


LiSbWO6: theoretical powder XRD pattern (Cu Kα, 1.54184 Å), based on a crystal structure in Alexandria, relaxed with GGA+U.

Atomic structure:
```
data_LiSbWO6
_chemical_formula_sum 'Li4 Sb4 W4 O24'
_cell_length_a 7.3714
_cell_length_b 7.3714
_cell_length_c 10.3223
_cell_angle_alpha 90.00
_cell_angle_beta 90.00
_cell_angle_gamma 90.00
_space_group_name_H-M_alt 'P 41 2 2'
_space_group_IT_number 91
_space_group_name_Hall 'P 4w 2c'
loop_
_atom_site_label
_atom_site_fract_x
_atom_site_fract_y
_atom_site_fract_z
Li1 0.0000 0.3388 0.0000
Sb1 0.0000 0.2399 0.5000
W1 0.2447 0.5000 0.2500
O1 0.0442 0.0442 0.3750
O2 0.0581 0.4485 0.3808
O3 0.2363 0.2566 0.1844
O4 0.4276 0.4276 0.3750
```

Most intense lines, 2θ = 10–90°, by angle:
2theta	I_rel	h k l
14.77	100	1 0 1
28.42	32	2 1 1
28.63	16	1 0 3
29.79	56	2 0 2
34.41	11	2 2 0
37.79	9	2 1 3
45.35	8	3 0 3
49.46	8	4 0 0
49.72	17	2 2 4
58.81	16	4 2 2


LiSbWO6: theoretical powder XRD pattern (Cu Kα, 1.54184 Å), based on a crystal structure in Alexandria, relaxed with GGA+U.

Atomic structure:
```
data_LiSbWO6
_chemical_formula_sum 'Li4 Sb4 W4 O24'
_cell_length_a 4.7576
_cell_length_b 17.7349
_cell_length_c 5.0931
_cell_angle_alpha 90.00
_cell_angle_beta 90.00
_cell_angle_gamma 90.00
_space_group_name_H-M_alt 'P b c n'
_space_group_IT_number 60
_space_group_name_Hall '-P 2n 2ab'
loop_
_atom_site_label
_atom_site_fract_x
_atom_site_fract_y
_atom_site_fract_z
Li1 0.0000 0.0479 0.2500
Sb1 0.0000 0.2815 0.7500
W1 0.0000 0.3967 0.2500
O1 0.2062 0.3638 0.5608
O2 0.2399 0.2933 0.0798
O3 0.2460 0.0424 0.6060
```

Most intense lines, 2θ = 10–90°, by angle:
2theta	I_rel	h k l
19.32	56	1 1 0
20.10	35	0 2 1
24.01	26	1 3 0
26.66	31	0 4 1
29.81	100	1 3 1
35.10	17	0 6 1
40.50	15	1 1 2
43.14	17	1 3 2
52.55	22	2 6 1
52.65	17	2 0 2